[1]
Calculated powder diffraction line list
Compound: Ac3TaB2N6
Radiation: Cu Kα, 1.54184 Å
Structure: a DFT-relaxed cell (PBE, Alexandria)
Kinematic intensities with the Lorentz-polarization factor, no thermal factor.

Largest 6 diffraction maxima, low angle first, 2θ = 10–80°:
2θ 22.7, I = 70, hkl 1 0 1; 2θ 32.1, I = 100, hkl 0 1 2; 2θ 32.4, I = 91, hkl 1 1 0; 2θ 40.0, I = 27, hkl 0 2 1; 2θ 46.3, I = 44, hkl 2 0 2; 2θ 57.7, I = 39, hkl 1 2 2

Crystal structure
Cell lengths 5.5183, 5.5183, 6.8584 Å; angles 90.00, 90.00, 120.00 degrees
Space group P-3m1 (No. 164)
Unique sites:
Ac (0.0000, 0.0000, 0.0000) x1
Ac (0.3333, 0.6667, 0.6826) x2
Ta (0.0000, 0.0000, 0.5000) x1
B (0.3333, 0.6667, 0.2861) x2
N (0.1789, 0.3578, 0.3149) x6

***

[2]
Calculated powder diffraction line list
Compound: Sr2YNi
Radiation: Cu Kα, 1.54184 Å
Structure: a DFT-relaxed cell (PBE, Alexandria)
Kinematic intensities with the Lorentz-polarization factor, no thermal factor.

Largest 6 diffraction maxima, low angle first, 2θ = 10–80°:
2θ 25.7, I = 76, hkl 0 1 3; 2θ 28.4, I = 33, hkl 1 0 3; 2θ 29.1, I = 73, hkl 0 0 6; 2θ 33.9, I = 96, hkl 1 1 2; 2θ 38.0, I = 100, hkl 1 1 4; 2θ 60.5, I = 39, hkl 1 1 10

Crystal structure
Cell lengths 3.662, 4.200, 18.397 Å; angles 90.00, 90.00, 90.00 degrees
Space group Immm (No. 71)
Unique sites:
Sr (0.000, 0.000, 0.159) x4
Y (0.000, 0.500, 0.000) x2
Ni (0.000, 0.500, 0.500) x2

***

[3]
Calculated powder diffraction line list
Compound: Ce4S5
Radiation: Cu Kα, 1.54184 Å
Structure: a DFT-relaxed cell (PBE, Alexandria)
Kinematic intensities with the Lorentz-polarization factor, no thermal factor.

Largest 6 diffraction maxima, low angle first, 2θ = 10–80°:
2θ 20.5, I = 74, hkl 0 2 0; 2θ 31.6, I = 100, hkl 1 0 3; 2θ 32.8, I = 64, hkl 1 2 1; 2θ 33.8, I = 80, hkl 0 2 4; 2θ 38.0, I = 52, hkl 1 2 3; 2θ 39.8, I = 50, hkl 1 3 0

Crystal structure
Cell lengths 3.646, 8.657, 13.447 Å; angles 90.00, 90.00, 90.00 degrees
Space group Immm (No. 71)
Unique sites:
Ce (0.000, 0.209, 0.132) x8
S (0.000, 0.153, 0.500) x4
S (0.000, 0.500, 0.248) x4
S (0.000, 0.500, 0.500) x2